# 1
The following is a theoretical powder diffraction line list of Nd3YTm3Se8. It was derived from a structure optimized by DFT (PBE), using Cu Kα (weighted mean of Kα1 and Kα2).

Structure:
```
data_Nd3YTm3Se8
_chemical_formula_sum 'Nd9 Y3 Tm9 Se24'
_cell_length_a 8.1723
_cell_length_b 8.1723
_cell_length_c 20.3669
_cell_angle_alpha 90.00
_cell_angle_beta 90.00
_cell_angle_gamma 120.00
_space_group_name_H-M_alt 'R -3 m'
_space_group_IT_number 166
_space_group_name_Hall '-R 3 2"'
loop_
_atom_site_label
_atom_site_fract_x
_atom_site_fract_y
_atom_site_fract_z
Nd1 0.0000 0.5000 0.0000
Y1 0.0000 0.0000 0.5000
Tm1 0.0000 0.5000 0.5000
Se1 0.0000 0.0000 0.2438
Se2 0.0101 0.5050 0.7537
```

Main lines, by intensity (15 to 90 degrees two-theta):
Position (°2θ)  I/Imax  hkl
30.77  100  0 2 4
43.81  37  2 0 8
44.34  36  2 2 0
54.94  19  4 0 4
72.39  16  2 2 12
73.16  16  2 4 4
81.25  12  4 2 8
64.09  12  0 4 8
15.25  9  0 1 2
26.67  8  2 0 2

# 2
The following is a theoretical powder diffraction line list of ThZnAsO. It was derived from a structure optimized by DFT (PBE), using Cu Kα (weighted mean of Kα1 and Kα2).

Structure:
```
data_ThZnAsO
_chemical_formula_sum 'Th4 Zn4 As4 O4'
_cell_length_a 7.156
_cell_length_b 4.123
_cell_length_c 10.703
_cell_angle_alpha 90.00
_cell_angle_beta 102.74
_cell_angle_gamma 90.00
_space_group_name_H-M_alt 'C 1 2/m 1'
_space_group_IT_number 12
loop_
_space_group_symop_operation_xyz
'x,y,z'
'-x,-y,-z'
'-x,y,-z'
'x,-y,z'
'x+1/2,y+1/2,z'
'-x+1/2,-y+1/2,-z'
'-x+1/2,y+1/2,-z'
'x+1/2,-y+1/2,z'
loop_
_atom_site_label
_atom_site_fract_x
_atom_site_fract_y
_atom_site_fract_z
Th1 0.121 0.000 0.363
Zn1 0.196 0.500 0.088
As1 0.112 0.500 0.837
O1 0.194 0.000 0.584
```

Main lines, by intensity (15 to 90 degrees two-theta):
Position (°2θ)  I/Imax  hkl
27.43  100  2 0 -2
43.87  56  0 2 0
33.96  30  1 1 -3
28.76  29  2 0 1
34.36  23  0 0 4
56.92  22  3 1 -5
38.21  21  1 1 3
32.05  19  1 1 2
53.33  17  1 1 5
52.57  12  2 2 -2

# 3
The following is a theoretical powder diffraction line list of TcB3Pb. It was derived from a structure optimized by DFT (PBE), using Cu Kα (weighted mean of Kα1 and Kα2).

Structure:
```
data_TcB3Pb
_chemical_formula_sum 'Tc1 B3 Pb1'
_cell_length_a 4.231
_cell_length_b 4.231
_cell_length_c 4.231
_cell_angle_alpha 90.00
_cell_angle_beta 90.00
_cell_angle_gamma 90.00
_space_group_name_H-M_alt 'P m -3 m'
_space_group_IT_number 221
_space_group_name_Hall '-P 4 2 3'
loop_
_atom_site_label
_atom_site_fract_x
_atom_site_fract_y
_atom_site_fract_z
Tc1 0.000 0.000 0.000
B1 0.000 0.000 0.500
Pb1 0.500 0.500 0.500
```

Main lines, by intensity (15 to 90 degrees two-theta):
Position (°2θ)  I/Imax  hkl
29.86  100  1 1 0
53.01  41  2 1 1
42.74  23  2 0 0
85.96  22  3 2 1
70.36  18  3 1 0
62.04  15  2 2 0
21.00  11  1 0 0
36.79  7  1 1 1
48.08  6  2 1 0
78.27  5  2 2 2

# 4
The following is a theoretical powder diffraction line list of Zn2FeW. It was derived from a structure optimized by DFT (PBE), using Cu Kα (weighted mean of Kα1 and Kα2).

Structure:
```
data_Zn2FeW
_chemical_formula_sum 'Zn4 Fe2 W2'
_cell_length_a 4.233
_cell_length_b 4.233
_cell_length_c 5.970
_cell_angle_alpha 90.00
_cell_angle_beta 90.00
_cell_angle_gamma 90.00
_space_group_name_H-M_alt 'I -4 m 2'
_space_group_IT_number 119
_space_group_name_Hall 'I -4 -2'
loop_
_atom_site_label
_atom_site_fract_x
_atom_site_fract_y
_atom_site_fract_z
Zn1 0.000 0.000 0.000
Zn2 0.000 0.500 0.250
Fe1 0.000 0.500 0.750
W1 0.000 0.000 0.500
```

Main lines, by intensity (15 to 90 degrees two-theta):
Position (°2θ)  I/Imax  hkl
42.76  100  2 0 0
78.28  21  3 1 2
25.80  21  1 0 1
29.88  13  1 1 0
62.01  11  2 2 0
78.40  11  2 0 4
50.58  7  2 1 1
62.20  5  0 0 4
68.37  5  3 0 1
53.04  4  2 0 2

# 5
The following is a theoretical powder diffraction line list of Nd3Ga2Si. It was derived from a structure optimized by DFT (PBE), using Cu Kα (weighted mean of Kα1 and Kα2).

Structure:
```
data_Nd3Ga2Si
_chemical_formula_sum 'Nd12 Ga8 Si4'
_cell_length_a 12.224
_cell_length_b 4.118
_cell_length_c 12.431
_cell_angle_alpha 90.00
_cell_angle_beta 90.00
_cell_angle_gamma 90.00
_space_group_name_H-M_alt 'P n m a'
_space_group_IT_number 62
loop_
_space_group_symop_operation_xyz
'x,y,z'
'-x,-y,-z'
'-x+1/2,-y,z+1/2'
'x+1/2,y,-z+1/2'
'x+1/2,-y+1/2,-z+1/2'
'-x+1/2,y+1/2,z+1/2'
'-x,y+1/2,-z'
'x,-y+1/2,z'
loop_
_atom_site_label
_atom_site_fract_x
_atom_site_fract_y
_atom_site_fract_z
Nd1 0.064 0.250 0.123
Nd2 0.116 0.750 0.553
Nd3 0.207 0.250 0.788
Ga1 0.025 0.750 0.311
Ga2 0.190 0.750 0.985
Si1 0.132 0.250 0.370
```

Main lines, by intensity (15 to 90 degrees two-theta):
Position (°2θ)  I/Imax  hkl
30.61  100  0 1 3
29.85  57  2 1 2
31.72  52  3 1 1
39.15  45  2 0 5
26.15  43  3 0 2
30.11  42  4 0 1
43.98  41  0 2 0
34.15  38  3 1 2
27.05  37  2 1 1
37.35  26  4 1 1

# 6
The following is a theoretical powder diffraction line list of Ag4Pd12Au3. It was derived from a structure optimized by DFT (PBE), using Cu Kα (weighted mean of Kα1 and Kα2).

Structure:
```
data_Ag4Pd12Au3
_chemical_formula_sum 'Ag8 Pd24 Au6'
_cell_length_a 5.936
_cell_length_b 9.027
_cell_length_c 16.795
_cell_angle_alpha 90.00
_cell_angle_beta 90.00
_cell_angle_gamma 90.00
_space_group_name_H-M_alt 'I m m 2'
_space_group_IT_number 44
loop_
_space_group_symop_operation_xyz
'x,y,z'
'-x,-y,z'
'-x,y,z'
'x,-y,z'
'x+1/2,y+1/2,z+1/2'
'-x+1/2,-y+1/2,z+1/2'
'-x+1/2,y+1/2,z+1/2'
'x+1/2,-y+1/2,z+1/2'
loop_
_atom_site_label
_atom_site_fract_x
_atom_site_fract_y
_atom_site_fract_z
Ag1 0.250 0.250 0.000
Pd1 0.000 0.227 0.132
Pd2 0.000 0.227 0.368
Pd3 0.222 0.500 0.602
Pd4 0.222 0.500 0.898
Pd5 0.223 0.244 0.750
Au1 0.000 0.000 0.250
Au2 0.000 0.000 0.750
Au3 0.000 0.500 0.750
```

Main lines, by intensity (15 to 90 degrees two-theta):
Position (°2θ)  I/Imax  hkl
42.33  100  2 2 4
39.94  36  0 4 0
37.82  27  0 2 6
43.09  22  0 0 8
31.98  21  0 0 6
25.35  19  1 2 1
74.18  17  2 6 4
60.20  15  0 4 8
21.16  15  0 0 4
21.82  13  1 0 3

# 7
The following is a theoretical powder diffraction line list of Nd6Y16Er7. It was derived from a structure optimized by DFT (PBE), using Cu Kα (weighted mean of Kα1 and Kα2).

Structure:
```
data_Nd6Y16Er7
_chemical_formula_sum 'Nd24 Y64 Er28'
_cell_length_a 15.865
_cell_length_b 15.865
_cell_length_c 15.865
_cell_angle_alpha 90.00
_cell_angle_beta 90.00
_cell_angle_gamma 90.00
_space_group_name_H-M_alt 'F m -3 m'
_space_group_IT_number 225
_space_group_name_Hall '-F 4 2 3'
loop_
_atom_site_label
_atom_site_fract_x
_atom_site_fract_y
_atom_site_fract_z
Nd1 0.000 0.000 0.217
Y1 0.122 0.122 0.378
Y2 0.155 0.155 0.155
Er1 0.000 0.000 0.500
Er2 0.000 0.250 0.250
```

Main lines, by intensity (15 to 90 degrees two-theta):
Position (°2θ)  I/Imax  hkl
31.91  100  4 4 0
56.86  23  8 4 4
29.25  21  3 3 3
45.75  13  8 0 0
43.83  11  7 3 1
27.54  11  4 2 2
60.35  10  7 7 3
70.19  6  10 6 2
81.10  6  9 7 7
75.85  6  12 4 0

# 8
The following is a theoretical powder diffraction line list of GaHgCl. It was derived from a structure optimized by DFT (PBE), using Cu Kα (weighted mean of Kα1 and Kα2).

Structure:
```
data_GaHgCl
_chemical_formula_sum 'Ga2 Hg2 Cl2'
_cell_length_a 7.177
_cell_length_b 4.233
_cell_length_c 6.584
_cell_angle_alpha 90.00
_cell_angle_beta 110.77
_cell_angle_gamma 90.00
_space_group_name_H-M_alt 'C 1 m 1'
_space_group_IT_number 8
loop_
_space_group_symop_operation_xyz
'x,y,z'
'x,-y,z'
'x+1/2,y+1/2,z'
'x+1/2,-y+1/2,z'
loop_
_atom_site_label
_atom_site_fract_x
_atom_site_fract_y
_atom_site_fract_z
Ga1 0.000 0.000 0.000
Hg1 0.235 0.000 0.677
Cl1 0.237 0.500 0.218
```

Main lines, by intensity (15 to 90 degrees two-theta):
Position (°2θ)  I/Imax  hkl
31.19  100  1 1 1
34.67  66  1 1 -2
24.87  66  1 1 0
26.32  47  1 1 -1
31.73  46  2 0 -2
43.45  42  3 1 -1
46.64  39  2 0 2
25.33  37  2 0 -1
42.72  25  0 2 0
29.01  24  0 0 2